[1]
Structure and simulated powder diffractogram of Sm2ThPd7 (a structure optimized by DFT (PBE); copper Kα).
Peak positions follow from Bragg's law for the DFT cell and can differ from measured ones.

Structure:
Lattice parameters (Å, degrees): 9.5561 9.0077 5.1900 79.68 68.03 32.30
Sites, in units of the cell vectors:
Sm1 0.1733 0.1733 0.8267
Sm2 0.8267 0.8267 0.1733
Th1 0.5000 0.5000 0.5000
Pd1 0.0000 0.0000 0.0000
Pd2 0.0839 0.0839 0.4161
Pd3 0.2500 0.2500 0.2500
Pd4 0.4161 0.4161 0.0839
Pd5 0.5839 0.5839 0.9161
Pd6 0.7500 0.7500 0.7500
Pd7 0.9161 0.9161 0.5839

Top 6 peaks for 10 to 90 degrees two-theta, by angle:
Position (°2θ)  Rel. int.
24.3  63
37.4  100
37.9  95
41.9  36
44.7  60
62.9  43

***

[2]
Structure and simulated powder diffractogram of Nd5SmGa2 (a structure optimized by DFT (PBE); copper Kα).
Peak positions follow from Bragg's law for the DFT cell and can differ from measured ones.

Structure:
Lattice parameters (Å, degrees): 7.8010 7.8010 7.8010 147.49 100.72 88.33
Sites, in units of the cell vectors:
Nd1 0.0000 0.0000 0.0000
Nd2 0.0503 0.3493 0.7009
Nd3 0.3516 0.6507 0.7009
Nd4 0.6484 0.3493 0.2991
Nd5 0.9497 0.6507 0.2991
Sm1 0.5000 0.0000 0.5000
Ga1 0.2854 0.2854 0.0000
Ga2 0.7146 0.7146 0.0000

Top 6 peaks for 10 to 90 degrees two-theta, by angle:
Position (°2θ)  Rel. int.
28.3  87
31.5  100
33.9  34
36.9  44
41.3  29
56.6  25

***

[3]
Structure and simulated powder diffractogram of PuNiRh3 (a structure optimized by DFT (PBE); copper Kα).
Peak positions follow from Bragg's law for the DFT cell and can differ from measured ones.

Structure:
Lattice parameters (Å, degrees): 6.2038 6.2038 6.2038 124.74 107.58 97.36
Sites, in units of the cell vectors:
Pu1 0.2494 0.2494 0.0000
Pu2 0.7506 0.7506 0.0000
Ni1 0.0000 0.3053 0.3053
Ni2 0.0000 0.6947 0.6947
Rh1 0.2732 0.7732 0.5000
Rh2 0.3159 0.2457 0.5616
Rh3 0.3159 0.7543 0.0702
Rh4 0.6841 0.2457 0.9298
Rh5 0.6841 0.7543 0.4384
Rh6 0.7268 0.2268 0.5000

Top 6 peaks for 10 to 90 degrees two-theta, by angle:
Position (°2θ)  Rel. int.
24.3  31
29.4  27
32.8  72
38.2  100
39.8  47
44.2  35